The following is a simulated XRD peak list of ZrCrP. It was derived from a DFT-relaxed cell (GGA-PBE, the Materials Project), using Cu Kα (λ = 1.5418 Å).

Structure:
```
ZrCrP
1.0
6.4413 0.0000 0.0000
0.0000 3.6601 0.0000
0.0000 0.0000 7.6044
Zr Cr P
4 4 4
direct
0.0351 0.2500 0.1723
0.4649 0.7500 0.6723
0.5351 0.2500 0.3277
0.9649 0.7500 0.8277
0.1311 0.2500 0.5537
0.3689 0.7500 0.0537
0.6311 0.2500 0.9463
0.8689 0.7500 0.4463
0.2335 0.7500 0.3648
0.2665 0.2500 0.8648
0.7335 0.7500 0.1352
0.7665 0.2500 0.6352
```

Principal peaks in the range 2θ from 5° to 70°, in order of falling intensity:
- 36.8 deg, 2.440 Å, I = 100
- 39.1 deg, 2.304 Å, I = 79
- 38.2 deg, 2.359 Å, I = 51
- 37.2 deg, 2.418 Å, I = 36
- 49.8 deg, 1.830 Å, I = 31
- 64.4 deg, 1.446 Å, I = 25
- 45.8 deg, 1.983 Å, I = 22
- 48.7 deg, 1.870 Å, I = 20
- 43.8 deg, 2.066 Å, I = 19
- 27.0 deg, 3.298 Å, I = 18

The following is a simulated XRD peak list of Mg14BW. It was derived from a DFT-relaxed cell (GGA-PBE, the Materials Project), using Cu Kα (λ = 1.5418 Å).

Structure:
```
Mg14BW
1.0
9.9874 0.0000 0.0000
0.0000 3.0347 5.3565
0.0000 -3.0347 5.3565
Mg B W
14 1 1
direct
0.0000 0.0000 0.0000
0.0000 0.0032 0.5020
0.0000 0.4992 0.4992
0.0000 0.5020 0.0032
0.2558 0.6622 0.6622
0.2603 0.1619 0.1619
0.2727 0.1691 0.6738
0.2727 0.6738 0.1691
0.5000 0.4997 0.9955
0.5000 0.9955 0.4997
0.7273 0.1691 0.6738
0.7273 0.6738 0.1691
0.7397 0.1619 0.1619
0.7442 0.6622 0.6622
0.5000 0.0055 0.0055
0.5000 0.5047 0.5047
```

Principal peaks in the range 2θ from 5° to 70°, in order of falling intensity:
- 38.6 deg, 2.334 Å, I = 100
- 8.9 deg, 9.987 Å, I = 87
- 19.0 deg, 4.668 Å, I = 76
- 38.1 deg, 2.360 Å, I = 54
- 16.8 deg, 5.281 Å, I = 50
- 24.5 deg, 3.628 Å, I = 43
- 36.0 deg, 2.497 Å, I = 38
- 34.0 deg, 2.640 Å, I = 30
- 18.8 deg, 4.720 Å, I = 28
- 30.4 deg, 2.941 Å, I = 26

The following is a simulated XRD peak list of NpGa4. It was derived from a DFT-relaxed cell (GGA-PBE, the Materials Project), using Cu Kα (λ = 1.5418 Å).

Structure:
```
NpGa4
1.0
-2.1836 3.1363 6.9266
2.1836 -3.1363 6.9266
2.1836 3.1363 -6.9266
Np Ga
2 8
direct
0.3630 0.1130 0.2500
0.6370 0.8870 0.7500
0.0000 0.5000 0.5000
0.1442 0.8942 0.2500
0.1697 0.6984 0.4713
0.2729 0.3016 0.9713
0.5000 0.5000 0.0000
0.7271 0.6984 0.0287
0.8303 0.3016 0.5287
0.8558 0.1058 0.7500
```

Principal peaks in the range 2θ from 5° to 70°, in order of falling intensity:
- 35.8 deg, 2.505 Å, I = 100
- 38.5 deg, 2.340 Å, I = 85
- 28.0 deg, 3.182 Å, I = 54
- 38.7 deg, 2.325 Å, I = 52
- 41.3 deg, 2.184 Å, I = 38
- 57.9 deg, 1.592 Å, I = 32
- 23.9 deg, 3.719 Å, I = 23
- 40.4 deg, 2.231 Å, I = 22
- 15.5 deg, 5.714 Å, I = 19
- 21.3 deg, 4.165 Å, I = 18

The following is a simulated XRD peak list of MgSi2. It was derived from a DFT-relaxed cell (GGA-PBE, the Materials Project), using Cu Kα (λ = 1.5418 Å).

Structure:
```
MgSi2
1.0
3.7484 0.0000 0.0000
-1.8074 5.2693 0.0000
-1.7885 -0.9679 11.3384
Mg Si
4 8
direct
0.0000 0.0000 0.0000
0.0090 0.7573 0.2592
0.5324 0.2522 0.8106
0.5907 0.6793 0.4990
0.1683 0.6076 0.7200
0.2706 0.6029 0.9406
0.2874 0.1008 0.4688
0.3265 0.3537 0.3022
0.6804 0.1583 0.1954
0.7485 0.4559 0.0431
0.8129 0.8897 0.7349
0.9008 0.2116 0.5936
```

Principal peaks in the range 2θ from 5° to 70°, in order of falling intensity:
- 31.6 deg, 2.833 Å, I = 100
- 48.6 deg, 1.874 Å, I = 98
- 36.5 deg, 2.461 Å, I = 98
- 27.6 deg, 3.234 Å, I = 94
- 41.3 deg, 2.187 Å, I = 75
- 41.9 deg, 2.156 Å, I = 72
- 36.2 deg, 2.481 Å, I = 68
- 49.2 deg, 1.854 Å, I = 47
- 35.8 deg, 2.509 Å, I = 47
- 35.3 deg, 2.544 Å, I = 44

The following is a simulated XRD peak list of LiCd2Ni. It was derived from a DFT-relaxed cell (GGA-PBE, the Materials Project), using Cu Kα (λ = 1.5418 Å).

Structure:
```
LiCd2Ni
1.0
0.0000 3.1951 3.1951
3.1951 0.0000 3.1951
3.1951 3.1951 0.0000
Li Cd Ni
1 2 1
direct
0.0000 0.0000 0.0000
0.2500 0.2500 0.2500
0.7500 0.7500 0.7500
0.5000 0.5000 0.5000
```

Principal peaks in the range 2θ from 5° to 70°, in order of falling intensity:
- 39.9 deg, 2.259 Å, I = 100
- 27.9 deg, 3.195 Å, I = 37
- 57.7 deg, 1.598 Å, I = 16
- 65.3 deg, 1.429 Å, I = 13
- 24.1 deg, 3.689 Å, I = 10
- 49.4 deg, 1.845 Å, I = 10
- 47.2 deg, 1.927 Å, I = 5
- 63.5 deg, 1.466 Å, I = 2

The following is a simulated XRD peak list of MgFeCu2SnS4. It was derived from a DFT-relaxed cell (GGA-PBE, the Materials Project), using Cu Kα (λ = 1.5418 Å).

Structure:
```
MgFeCu2SnS4
1.0
5.4743 0.0000 0.0000
0.0000 5.4232 0.0000
-0.0626 0.0000 6.1714
Mg Fe Cu Sn S
1 1 2 1 4
direct
0.0000 0.0000 0.0000
0.5000 0.0014 0.0000
0.0000 0.5007 0.0000
0.5000 0.5002 0.5000
0.0000 0.0049 0.5000
0.2783 0.7267 0.7811
0.2824 0.2743 0.2170
0.7176 0.2743 0.7830
0.7217 0.7267 0.2189
```

Principal peaks in the range 2θ from 5° to 70°, in order of falling intensity:
- 27.4 deg, 3.258 Å, I = 100
- 27.2 deg, 3.279 Å, I = 99
- 44.5 deg, 2.037 Å, I = 79
- 47.2 deg, 1.926 Å, I = 45
- 44.0 deg, 2.058 Å, I = 28
- 55.6 deg, 1.654 Å, I = 25
- 28.9 deg, 3.086 Å, I = 20
- 50.4 deg, 1.809 Å, I = 18
- 50.1 deg, 1.820 Å, I = 17
- 32.7 deg, 2.737 Å, I = 15

The following is a simulated XRD peak list of K3LaP2O8. It was derived from a DFT-relaxed cell (GGA-PBE, the Materials Project), using Cu Kα (λ = 1.5418 Å).

Structure:
```
K3LaP2O8
1.0
7.6121 0.0000 0.0000
0.0000 5.7410 0.0000
-0.2102 0.0000 9.7360
K La P O
6 2 4 16
direct
0.0077 0.2500 0.1903
0.1417 0.7500 0.4055
0.2958 0.2500 0.9157
0.7042 0.7500 0.0843
0.8583 0.2500 0.5945
0.9923 0.7500 0.8097
0.4930 0.7500 0.7081
0.5070 0.2500 0.2919
0.2643 0.7500 0.0852
0.3006 0.2500 0.5731
0.6994 0.7500 0.4269
0.7357 0.2500 0.9148
0.0634 0.7500 0.0995
0.2160 0.2500 0.4255
0.2436 0.0280 0.6530
0.2436 0.4720 0.6530
0.3180 0.7500 0.9312
0.3437 0.5283 0.1571
0.3437 0.9717 0.1571
0.4962 0.7500 0.4435
0.5038 0.2500 0.5565
0.6563 0.0283 0.8429
0.6563 0.4717 0.8429
0.6820 0.2500 0.0688
0.7564 0.5280 0.3470
0.7564 0.9720 0.3470
0.7840 0.7500 0.5745
0.9366 0.2500 0.9005
```

Principal peaks in the range 2θ from 5° to 70°, in order of falling intensity:
- 11.6 deg, 7.610 Å, I = 100
- 29.8 deg, 3.001 Å, I = 97
- 29.5 deg, 3.031 Å, I = 94
- 31.7 deg, 2.825 Å, I = 92
- 21.5 deg, 4.130 Å, I = 88
- 31.2 deg, 2.871 Å, I = 78
- 17.9 deg, 4.945 Å, I = 38
- 43.9 deg, 2.062 Å, I = 36
- 43.4 deg, 2.084 Å, I = 26
- 26.9 deg, 3.316 Å, I = 24

The following is a simulated XRD peak list of SmInRh. It was derived from a DFT-relaxed cell (GGA-PBE, the Materials Project), using Cu Kα (λ = 1.5418 Å).

Structure:
```
SmInRh
1.0
7.5926 0.0000 0.0000
-3.7963 6.5754 0.0000
0.0000 0.0000 4.0233
Sm In Rh
3 3 3
direct
0.0000 0.4092 0.0000
0.4092 0.0000 0.0000
0.5908 0.5908 0.0000
0.0000 0.7469 0.5000
0.2531 0.2531 0.5000
0.7469 0.0000 0.5000
0.0000 0.0000 0.0000
0.3333 0.6667 0.5000
0.6667 0.3333 0.5000
```

Principal peaks in the range 2θ from 5° to 70°, in order of falling intensity:
- 32.4 deg, 2.761 Å, I = 100
- 35.3 deg, 2.546 Å, I = 91
- 36.1 deg, 2.485 Å, I = 50
- 41.2 deg, 2.192 Å, I = 33
- 66.2 deg, 1.412 Å, I = 30
- 45.1 deg, 2.012 Å, I = 26
- 59.1 deg, 1.564 Å, I = 23
- 42.8 deg, 2.114 Å, I = 23
- 62.7 deg, 1.482 Å, I = 19
- 55.3 deg, 1.661 Å, I = 17

The following is a simulated XRD peak list of MgZn2. It was derived from a DFT-relaxed cell (GGA-PBE, the Materials Project), using Cu Kα (λ = 1.5418 Å).

Structure:
```
MgZn2
1.0
2.4371 1.4070 5.0848
-2.4371 1.4070 5.0848
0.0000 -2.8141 5.0848
Mg Zn
2 4
direct
0.1669 0.1669 0.1669
0.8331 0.8331 0.8331
0.0000 0.6620 0.3380
0.3380 0.0000 0.6620
0.5000 0.5000 0.5000
0.6620 0.3380 0.0000
```

Principal peaks in the range 2θ from 5° to 70°, in order of falling intensity:
- 41.1 deg, 2.198 Å, I = 100
- 35.3 deg, 2.542 Å, I = 33
- 36.9 deg, 2.437 Å, I = 27
- 67.3 deg, 1.391 Å, I = 21
- 52.0 deg, 1.759 Å, I = 19
- 66.4 deg, 1.407 Å, I = 14
- 17.4 deg, 5.085 Å, I = 14
- 21.8 deg, 4.068 Å, I = 7
- 24.1 deg, 3.693 Å, I = 4
- 31.6 deg, 2.830 Å, I = 2

The following is a simulated XRD peak list of CeSi5. It was derived from a DFT-relaxed cell (GGA-PBE, the Materials Project), using Cu Kα (λ = 1.5418 Å).

Structure:
```
CeSi5
1.0
-1.8864 3.0233 4.6386
1.8864 -3.0233 4.6386
1.8864 3.0233 -4.6386
Ce Si
1 5
direct
0.0000 0.0000 0.0000
0.1309 0.3289 0.8020
0.4731 0.6711 0.8020
0.5000 0.0000 0.5000
0.5269 0.3289 0.1980
0.8691 0.6711 0.1980
```

Principal peaks in the range 2θ from 5° to 70°, in order of falling intensity:
- 37.6 deg, 2.392 Å, I = 100
- 39.4 deg, 2.286 Å, I = 98
- 35.4 deg, 2.533 Å, I = 71
- 17.5 deg, 5.066 Å, I = 68
- 27.9 deg, 3.201 Å, I = 61
- 25.5 deg, 3.495 Å, I = 44
- 32.5 deg, 2.753 Å, I = 41
- 19.1 deg, 4.639 Å, I = 37
- 61.3 deg, 1.513 Å, I = 34
- 34.0 deg, 2.634 Å, I = 27

The following is a simulated XRD peak list of Mg3B2P2H18O20. It was derived from a DFT-relaxed cell (GGA-PBE, the Materials Project), using Cu Kα (λ = 1.5418 Å).

Structure:
```
Mg3B2P2H18O20
1.0
6.3648 0.0000 0.0000
1.8324 6.0984 0.0000
0.8305 0.8205 9.8393
Mg B P H O
3 2 2 18 20
direct
0.0000 0.0000 0.0000
0.3169 0.3422 0.3321
0.6831 0.6578 0.6679
0.2272 0.8788 0.2879
0.7728 0.1212 0.7121
0.1430 0.7566 0.7215
0.8570 0.2434 0.2785
0.1307 0.3496 0.8523
0.1570 0.1595 0.5667
0.1689 0.3898 0.6001
0.2974 0.6944 0.1232
0.3102 0.6820 0.4621
0.3186 0.3442 0.0548
0.3318 0.1382 0.8624
0.4451 0.6616 0.8927
0.4956 0.0897 0.6341
0.5044 0.9103 0.3659
0.5549 0.3384 0.1073
0.6682 0.8618 0.1376
0.6814 0.6558 0.9452
0.6898 0.3180 0.5379
0.7026 0.3056 0.8768
0.8311 0.6102 0.3999
0.8430 0.8405 0.4333
0.8693 0.6504 0.1477
0.0025 0.0112 0.3372
0.0181 0.5821 0.7124
0.1844 0.7726 0.8714
0.2058 0.2239 0.9162
0.2240 0.8490 0.1423
0.2459 0.2650 0.5442
0.2768 0.6668 0.3676
0.3560 0.7085 0.6314
0.3870 0.0024 0.3086
0.3900 0.4029 0.1212
0.6100 0.5971 0.8788
0.6130 0.9976 0.6914
0.6440 0.2915 0.3686
0.7232 0.3332 0.6324
0.7541 0.7350 0.4558
0.7760 0.1510 0.8577
0.7942 0.7761 0.0838
0.8156 0.2274 0.1286
0.9819 0.4179 0.2876
0.9975 0.9888 0.6628
```

Principal peaks in the range 2θ from 5° to 70°, in order of falling intensity:
- 17.5 deg, 5.070 Å, I = 100
- 17.8 deg, 4.989 Å, I = 91
- 29.4 deg, 3.042 Å, I = 83
- 18.0 deg, 4.920 Å, I = 76
- 29.9 deg, 2.987 Å, I = 62
- 30.2 deg, 2.955 Å, I = 61
- 46.1 deg, 1.967 Å, I = 53
- 27.2 deg, 3.280 Å, I = 51
- 35.4 deg, 2.537 Å, I = 47
- 14.6 deg, 6.085 Å, I = 43